The following is a calculated powder diffraction line list of Nd2In. It was derived from DFT lattice parameters and positions (GGA-PBE), using copper Kα.

Crystal structure
```
data_Nd2In
_cell_length_a 6.892
_cell_length_b 5.366
_cell_length_c 10.142
_cell_angle_alpha 90.00
_cell_angle_beta 90.00
_cell_angle_gamma 90.00
_symmetry_space_group_name_H-M 'P n m a'
_symmetry_Int_Tables_number 62
loop_
_symmetry_equiv_pos_as_xyz
'x,y,z'
'-x,-y,-z'
'-x+1/2,-y,z+1/2'
'x+1/2,y,-z+1/2'
'x+1/2,-y+1/2,-z+1/2'
'-x+1/2,y+1/2,z+1/2'
'-x,y+1/2,-z'
'x,-y+1/2,z'
loop_
_atom_site_label
_atom_site_type_symbol
_atom_site_fract_x
_atom_site_fract_y
_atom_site_fract_z
_atom_site_occupancy
Nd1 Nd 0.033 0.250 0.209 1
Nd2 Nd 0.192 0.250 0.572 1
In1 In 0.213 0.250 0.894 1
```

Top 10 peaks for 5° ≤ 2θ ≤ 70°, in order of rising 2θ:
d (Å), two_theta, intensity
2.900, 30.84, 36
2.860, 31.27, 100
2.850, 31.39, 34
2.788, 32.11, 86
2.683, 33.40, 56
2.413, 37.26, 17
1.954, 46.49, 23
1.624, 56.69, 21
1.581, 58.37, 17
1.569, 58.86, 24